# RbAu
Theoretical powder diffractogram, Cu Kα, 1.54184 Å. Input: the PBE geometry in Alexandria.
Lines closer than 0.1° are merged.

Crystal structure
a = 10.158 Å, b = 10.158 Å, c = 10.158 Å
α = 90.00°, β = 90.00°, γ = 90.00°
Space group I-43m (No. 217)
Unique sites:
Rb 0.204 0.204 0.204 x8
Au 0.103 0.103 0.897 x8

Peak list (10 most intense, 2θ = 10–90°, most intense first)
- 12.32°, I 100.0, (1 1 0)
- 32.99°, I 43.2, (3 2 1)
- 37.56°, I 21.4, (4 1 1)
- 41.70°, I 13.8, (3 3 2)
- 30.48°, I 13.5, (2 2 2)
- 27.77°, I 10.7, (3 1 0)
- 45.53°, I 10.3, (5 1 0)
- 73.39°, I 10.1, (7 3 2)
- 64.91°, I 9.6, (5 5 0)
- 58.92°, I 9.3, (5 4 1)



# AlZnFe2
Theoretical powder diffractogram, Cu Kα, 1.54184 Å. Input: the PBE geometry in Alexandria.
Lines closer than 0.1° are merged.

Crystal structure
a = 5.856 Å, b = 5.856 Å, c = 5.856 Å
α = 90.00°, β = 90.00°, γ = 90.00°
Space group F-43m (No. 216)
Unique sites:
Al 0.000 0.000 0.000 x4
Zn 0.250 0.250 0.250 x4
Fe 0.000 0.000 0.500 x4
Fe 0.250 0.250 0.750 x4

Peak list (10 most intense, 2θ = 10–90°, most intense first)
- 43.72°, I 100.0, (2 2 0)
- 80.32°, I 29.6, (4 2 2)
- 63.55°, I 15.2, (4 0 0)
- 26.36°, I 6.7, (1 1 1)
- 30.53°, I 5.8, (2 0 0)
- 51.78°, I 2.9, (3 1 1)
- 72.13°, I 1.7, (4 2 0)
- 54.26°, I 1.5, (2 2 2)
- 70.03°, I 1.0, (3 3 1)
- 86.32°, I 0.8, (5 1 1)



# LaPm10Ho6
Theoretical powder diffractogram, Cu Kα, 1.54184 Å. Input: the PBE geometry in Alexandria.
Lines closer than 0.1° are merged.

Crystal structure
a = 9.8367 Å, b = 9.8367 Å, c = 6.9022 Å
α = 90.00°, β = 90.00°, γ = 120.00°
Space group P-31m (No. 162)
Unique sites:
La 0.0000 0.0000 0.0000 x1
Pm 0.0000 0.2780 0.3198 x6
Pm 0.3333 0.6667 0.0000 x2
Pm 0.3333 0.6667 0.5000 x2
Ho 0.0000 0.3724 0.8085 x6

Peak list (10 most intense, 2θ = 10–90°, most intense first)
- 31.67°, I 100.0, (1 1 2)
- 31.51°, I 80.7, (3 0 0)
- 30.64°, I 40.2, (3 -1 1)
- 45.28°, I 26.2, (4 -2 2)
- 56.20°, I 18.7, (4 1 2)
- 56.52°, I 18.4, (2 -1 4)
- 48.41°, I 12.8, (3 2 1)
- 40.35°, I 11.2, (4 -1 1)
- 62.14°, I 10.9, (6 -1 1)
- 58.91°, I 9.9, (6 -2 1)



# BaLaI5
Theoretical powder diffractogram, Cu Kα, 1.54184 Å. Input: the PBE geometry in Alexandria.
Lines closer than 0.1° are merged.

Crystal structure
a = 8.236 Å, b = 16.109 Å, c = 11.772 Å
α = 90.00°, β = 109.18°, γ = 90.00°
Space group P2_1/c (No. 14)
Unique sites:
Ba 0.045 0.023 0.262 x4
La 0.390 0.241 0.607 x4
I 0.047 0.126 0.543 x4
I 0.147 0.105 0.993 x4
I 0.278 0.662 0.371 x4
I 0.391 0.170 0.352 x4
I 0.410 0.587 0.762 x4

Peak list (10 most intense, 2θ = 10–90°, most intense first)
- 25.49°, I 100.0, (1 2 -3)
- 27.31°, I 96.0, (1 4 1)
- 15.84°, I 85.5, (1 2 0)
- 28.34°, I 76.9, (2 3 0)
- 31.73°, I 72.8, (1 4 2)
- 34.11°, I 45.0, (0 2 4)
- 32.25°, I 41.6, (2 4 -2)
- 16.87°, I 41.4, (0 1 2)
- 30.39°, I 35.9, (1 0 -4)
- 22.29°, I 31.9, (2 1 -1)



# Cs2H6CO6
Theoretical powder diffractogram, Cu Kα, 1.54184 Å. Input: the PBE geometry in Alexandria.
Lines closer than 0.1° are merged.

Crystal structure
a = 6.593 Å, b = 6.973 Å, c = 8.874 Å
α = 90.00°, β = 91.07°, γ = 90.00°
Space group P2/c (No. 13)
Unique sites:
Cs 0.243 0.153 0.076 x4
H 0.119 0.271 0.738 x4
H 0.267 0.346 0.526 x4
H 0.282 0.405 0.354 x4
C 0.500 0.325 0.750 x2
O 0.000 0.184 0.750 x2
O 0.245 0.297 0.422 x4
O 0.332 0.421 0.719 x4
O 0.500 0.141 0.750 x2

Peak list (10 most intense, 2θ = 10–90°, most intense first)
- 32.90°, I 100.0, (0 1 3)
- 21.20°, I 98.5, (1 1 1)
- 30.63°, I 90.1, (1 2 -1)
- 30.80°, I 71.0, (1 2 1)
- 27.05°, I 69.6, (2 0 0)
- 12.70°, I 68.4, (0 1 0)
- 23.97°, I 64.6, (1 0 -2)
- 20.96°, I 61.6, (1 1 -1)
- 38.77°, I 36.9, (0 3 0)
- 31.51°, I 33.2, (2 1 -1)



# Pm9YTm2
Theoretical powder diffractogram, Cu Kα, 1.54184 Å. Input: the PBE geometry in Alexandria.
Lines closer than 0.1° are merged.

Crystal structure
a = 5.115 Å, b = 5.115 Å, c = 15.342 Å
α = 90.00°, β = 90.00°, γ = 90.00°
Space group P4/mmm (No. 123)
Unique sites:
Pm 0.000 0.000 0.000 x1
Pm 0.000 0.000 0.334 x2
Pm 0.000 0.500 0.168 x4
Pm 0.000 0.500 0.500 x2
Y 0.500 0.500 0.000 x1
Tm 0.500 0.500 0.334 x2

Peak list (9 most intense, 2θ = 10–90°, most intense first)
- 30.27°, I 100.0, (1 1 3)
- 35.09°, I 50.6, (2 0 0)
- 59.99°, I 43.0, (3 1 3)
- 50.47°, I 36.1, (2 2 0)
- 82.14°, I 17.6, (3 3 3)
- 84.77°, I 16.4, (4 2 0)
- 62.95°, I 12.4, (2 2 6)
- 74.16°, I 5.7, (4 0 0)
- 18.28°, I 0.6, (1 0 1)